# 1
Ta4Mo2Au3C3: theoretical X-ray powder pattern (a wavelength of 1.5418 Å), based on the PBE geometry in OQMD.
Peak positions follow from Bragg's law for the DFT cell and can differ from measured ones.

Structural model:
a = 9.445 Å, b = 5.456 Å, c = 14.048 Å
α = 90.00°, β = 102.91°, γ = 90.00°
Space group C2/c (No. 15)
Symmetry-distinct sites (fractional):
Ta: 0.112 0.085 0.088 (multiplicity 8)
Ta: 0.222 0.083 0.412 (multiplicity 8)
Mo: 0.056 0.417 0.922 (multiplicity 8)
Au: 0.000 0.099 0.750 (multiplicity 4)
Au: 0.159 0.426 0.251 (multiplicity 8)
C: 0.086 0.243 0.500 (multiplicity 8)
C: 0.250 0.250 0.000 (multiplicity 4)

Top 10 peaks for 2θ = 10–90°, by angle:
- 32.84°, I 35
- 38.44°, I 100
- 38.47°, I 49
- 39.49°, I 29
- 52.27°, I 22
- 58.63°, I 30
- 70.93°, I 24
- 72.32°, I 23
- 73.00°, I 29
- 82.38°, I 6

=====

# 2
RbAuC2S2N2: theoretical X-ray powder pattern (a wavelength of 1.5418 Å), based on the PBE geometry in OQMD.
Peak positions follow from Bragg's law for the DFT cell and can differ from measured ones.

Structural model:
a = 13.161 Å, b = 6.222 Å, c = 17.797 Å
α = 90.00°, β = 108.52°, γ = 90.00°
Space group C2/c (No. 15)
Symmetry-distinct sites (fractional):
Rb: 0.177 0.014 0.061 (multiplicity 8)
Au: 0.000 0.166 0.250 (multiplicity 4)
Au: 0.000 0.336 0.750 (multiplicity 4)
C: 0.020 0.435 0.413 (multiplicity 8)
C: 0.228 0.055 0.356 (multiplicity 8)
S: 0.022 0.311 0.885 (multiplicity 8)
S: 0.184 0.179 0.270 (multiplicity 8)
N: 0.020 0.257 0.436 (multiplicity 8)
N: 0.237 0.476 0.080 (multiplicity 8)

Top 10 peaks for 2θ = 10–90°, by angle:
- 10.48°, I 100
- 14.19°, I 63
- 14.73°, I 72
- 20.21°, I 60
- 21.06°, I 33
- 21.35°, I 56
- 27.14°, I 43
- 28.61°, I 33
- 29.19°, I 49
- 31.82°, I 61

=====

# 3
Y3AuCN: theoretical X-ray powder pattern (a wavelength of 1.5418 Å), based on the PBE geometry in OQMD.
Peak positions follow from Bragg's law for the DFT cell and can differ from measured ones.

Structural model:
a = 3.5875 Å, b = 3.5875 Å, c = 19.9850 Å
α = 90.00°, β = 90.00°, γ = 120.00°
Space group P-3m1 (No. 164)
Symmetry-distinct sites (fractional):
Y: 0.0000 0.0000 0.0000 (multiplicity 1)
Y: 0.0000 0.0000 0.5000 (multiplicity 1)
Y: 0.3333 0.6667 0.1349 (multiplicity 2)
Y: 0.3333 0.6667 0.3611 (multiplicity 2)
Au: 0.0000 0.0000 0.2444 (multiplicity 2)
C: 0.3333 0.6667 0.5788 (multiplicity 2)
N: 0.3333 0.6667 0.9274 (multiplicity 2)

Top 10 peaks for 2θ = 10–90°, by angle:
- 28.73°, I 18
- 29.09°, I 13
- 33.98°, I 100
- 35.95°, I 17
- 36.63°, I 15
- 46.65°, I 14
- 50.91°, I 27
- 62.62°, I 17
- 63.89°, I 19
- 84.81°, I 15

=====

# 4
Nb4AuC3: theoretical X-ray powder pattern (a wavelength of 1.5418 Å), based on the PBE geometry in OQMD.
Peak positions follow from Bragg's law for the DFT cell and can differ from measured ones.

Structural model:
a = 3.1628 Å, b = 3.1628 Å, c = 24.6266 Å
α = 90.00°, β = 90.00°, γ = 120.00°
Space group P6_3/mmc (No. 194)
Symmetry-distinct sites (fractional):
Nb: 0.0000 0.0000 0.1554 (multiplicity 4)
Nb: 0.3333 0.6667 0.0546 (multiplicity 4)
Au: 0.3333 0.6667 0.2500 (multiplicity 2)
C: 0.0000 0.0000 0.0000 (multiplicity 2)
C: 0.3333 0.6667 0.6079 (multiplicity 4)

Top 10 peaks for 2θ = 10–90°, by angle:
- 32.90°, I 57
- 35.88°, I 55
- 36.49°, I 44
- 37.57°, I 100
- 39.56°, I 83
- 52.81°, I 26
- 58.35°, I 43
- 66.39°, I 16
- 70.13°, I 16
- 70.81°, I 38

=====

# 5
Nb4TlAuC2: theoretical X-ray powder pattern (a wavelength of 1.5418 Å), based on the PBE geometry in OQMD.
Peak positions follow from Bragg's law for the DFT cell and can differ from measured ones.

Structural model:
a = 3.2060 Å, b = 3.2060 Å, c = 14.2152 Å
α = 90.00°, β = 90.00°, γ = 120.00°
Space group P-6m2 (No. 187)
Symmetry-distinct sites (fractional):
Nb: 0.0000 0.0000 0.1596 (multiplicity 2)
Nb: 0.6667 0.3333 0.3262 (multiplicity 2)
Tl: 0.0000 0.0000 0.5000 (multiplicity 1)
Au: 0.6667 0.3333 0.0000 (multiplicity 1)
C: 0.3333 0.6667 0.2423 (multiplicity 2)

Top 10 peaks for 2θ = 10–90°, by angle:
- 12.45°, I 14
- 32.24°, I 23
- 32.87°, I 10
- 37.55°, I 100
- 37.98°, I 20
- 50.65°, I 15
- 57.49°, I 20
- 68.32°, I 16
- 70.71°, I 15
- 70.99°, I 19

=====

# 6
Y4NiAuC2: theoretical X-ray powder pattern (a wavelength of 1.5418 Å), based on the PBE geometry in OQMD.
Peak positions follow from Bragg's law for the DFT cell and can differ from measured ones.

Structural model:
a = 3.6603 Å, b = 3.6603 Å, c = 13.7115 Å
α = 90.00°, β = 90.00°, γ = 120.00°
Space group P-6m2 (No. 187)
Symmetry-distinct sites (fractional):
Y: 0.0000 0.0000 0.1405 (multiplicity 2)
Y: 0.6667 0.3333 0.3371 (multiplicity 2)
Ni: 0.6667 0.3333 0.0000 (multiplicity 1)
Au: 0.0000 0.0000 0.5000 (multiplicity 1)
C: 0.3333 0.6667 0.2440 (multiplicity 2)

Top 10 peaks for 2θ = 10–90°, by angle:
- 28.15°, I 30
- 31.08°, I 16
- 34.43°, I 100
- 39.43°, I 11
- 43.64°, I 12
- 49.15°, I 11
- 49.82°, I 26
- 61.97°, I 18
- 65.32°, I 15
- 83.37°, I 19

=====

# 7
Zr4PbAuC2: theoretical X-ray powder pattern (a wavelength of 1.5418 Å), based on the PBE geometry in OQMD.
Peak positions follow from Bragg's law for the DFT cell and can differ from measured ones.

Structural model:
a = 3.3765 Å, b = 3.3765 Å, c = 14.6082 Å
α = 90.00°, β = 90.00°, γ = 120.00°
Space group P-6m2 (No. 187)
Symmetry-distinct sites (fractional):
Zr: 0.0000 0.0000 0.1554 (multiplicity 2)
Zr: 0.6667 0.3333 0.3282 (multiplicity 2)
Pb: 0.0000 0.0000 0.5000 (multiplicity 1)
Au: 0.6667 0.3333 0.0000 (multiplicity 1)
C: 0.3333 0.6667 0.2433 (multiplicity 2)

Top 10 peaks for 2θ = 10–90°, by angle:
- 12.12°, I 17
- 30.57°, I 23
- 31.19°, I 11
- 35.82°, I 100
- 36.92°, I 19
- 48.66°, I 15
- 54.34°, I 21
- 65.81°, I 15
- 66.81°, I 16
- 67.52°, I 19

=====

# 8
Sc2Ta4Au3C3: theoretical X-ray powder pattern (a wavelength of 1.5418 Å), based on the PBE geometry in OQMD.
Peak positions follow from Bragg's law for the DFT cell and can differ from measured ones.

Structural model:
a = 9.662 Å, b = 5.565 Å, c = 14.296 Å
α = 90.00°, β = 103.26°, γ = 90.00°
Space group C2/c (No. 15)
Symmetry-distinct sites (fractional):
Sc: 0.044 0.080 0.395 (multiplicity 8)
Ta: 0.110 0.407 0.581 (multiplicity 8)
Ta: 0.227 0.421 0.919 (multiplicity 8)
Au: 0.000 0.495 0.250 (multiplicity 4)
Au: 0.203 0.114 0.752 (multiplicity 8)
C: 0.085 0.254 0.000 (multiplicity 8)
C: 0.250 0.250 0.500 (multiplicity 4)

Top 10 peaks for 2θ = 10–90°, by angle:
- 18.53°, I 22
- 18.87°, I 18
- 32.13°, I 33
- 37.59°, I 52
- 37.71°, I 100
- 38.84°, I 41
- 51.31°, I 16
- 57.32°, I 15
- 69.60°, I 15
- 71.47°, I 11

=====

# 9
Ta4AuC3: theoretical X-ray powder pattern (a wavelength of 1.5418 Å), based on the PBE geometry in OQMD.
Peak positions follow from Bragg's law for the DFT cell and can differ from measured ones.

Structural model:
a = 3.1463 Å, b = 3.1463 Å, c = 24.4609 Å
α = 90.00°, β = 90.00°, γ = 120.00°
Space group P6_3/mmc (No. 194)
Symmetry-distinct sites (fractional):
Ta: 0.0000 0.0000 0.1559 (multiplicity 4)
Ta: 0.3333 0.6667 0.0546 (multiplicity 4)
Au: 0.3333 0.6667 0.2500 (multiplicity 2)
C: 0.0000 0.0000 0.0000 (multiplicity 2)
C: 0.3333 0.6667 0.6075 (multiplicity 4)

Top 10 peaks for 2θ = 10–90°, by angle:
- 33.08°, I 41
- 36.09°, I 64
- 36.74°, I 53
- 37.79°, I 96
- 39.79°, I 100
- 53.16°, I 21
- 58.69°, I 51
- 70.65°, I 22
- 71.27°, I 48
- 73.26°, I 17

=====

# 10
Zr2Ta4Au3C3: theoretical X-ray powder pattern (a wavelength of 1.5418 Å), based on the PBE geometry in OQMD.
Peak positions follow from Bragg's law for the DFT cell and can differ from measured ones.

Structural model:
a = 9.700 Å, b = 5.587 Å, c = 14.260 Å
α = 90.00°, β = 103.36°, γ = 90.00°
Space group C2/c (No. 15)
Symmetry-distinct sites (fractional):
Zr: 0.045 0.081 0.396 (multiplicity 8)
Ta: 0.111 0.409 0.581 (multiplicity 8)
Ta: 0.226 0.420 0.919 (multiplicity 8)
Au: 0.000 0.487 0.250 (multiplicity 4)
Au: 0.201 0.116 0.752 (multiplicity 8)
C: 0.084 0.252 0.000 (multiplicity 8)
C: 0.250 0.250 0.500 (multiplicity 4)

Top 10 peaks for 2θ = 10–90°, by angle:
- 18.45°, I 10
- 32.00°, I 34
- 37.50°, I 52
- 37.62°, I 100
- 38.95°, I 32
- 51.32°, I 13
- 57.07°, I 16
- 69.71°, I 14
- 71.16°, I 9
- 71.34°, I 10

=====

# 11
Cd2Au7: theoretical X-ray powder pattern (a wavelength of 1.5418 Å), based on the PBE geometry in OQMD.
Peak positions follow from Bragg's law for the DFT cell and can differ from measured ones.

Structural model:
a = 2.9238 Å, b = 2.9238 Å, c = 31.1826 Å
α = 90.00°, β = 90.00°, γ = 120.00°
Space group P-3m1 (No. 164)
Symmetry-distinct sites (fractional):
Cd: 0.3333 0.6667 0.1800 (multiplicity 2)
Au: 0.0000 0.0000 0.2651 (multiplicity 2)
Au: 0.0000 0.0000 0.5000 (multiplicity 1)
Au: 0.3333 0.6667 0.4224 (multiplicity 2)
Au: 0.3333 0.6667 0.6557 (multiplicity 2)

Top 10 peaks for 2θ = 10–90°, by angle:
- 34.52°, I 21
- 37.34°, I 100
- 37.49°, I 30
- 38.37°, I 42
- 42.58°, I 55
- 44.31°, I 43
- 62.53°, I 23
- 63.67°, I 32
- 74.47°, I 14
- 76.24°, I 36